[1]
Simulated PXRD pattern
Compound: Ba2LiSmCoCu2O7
Radiation: Cu Kα
Structure: a crystal structure in the Materials Project, relaxed with GGA+U
Peak positions follow from Bragg's law for the DFT cell and can differ from measured ones.

Top 12 peaks for 2θ from 10° to 90°, in order of rising 2θ:
13.6°, I = 227
20.5°, I = 188
22.4°, I = 170
30.6°, I = 1000
31.9°, I = 709
35.7°, I = 394
38.2°, I = 266
41.5°, I = 215
45.6°, I = 218
45.8°, I = 216
56.0°, I = 167
56.1°, I = 191

Crystal structure
```
Ba2LiSmCoCu2O7
1.0
3.960 0.000 0.000
0.000 3.975 0.000
0.000 0.000 12.997
Ba Li Sm Co Cu O
2 1 1 1 2 7
Cartesian
0.000 0.000 0.000 Ba
0.000 0.000 4.098 Ba
0.000 1.987 10.921 Li
0.000 0.000 7.774 Sm
1.980 1.987 1.713 Co
1.980 1.987 6.157 Cu
1.980 1.987 9.220 Cu
0.000 1.987 1.643 O
0.000 1.987 6.239 O
0.000 1.987 9.152 O
1.980 0.000 6.233 O
1.980 0.000 9.235 O
1.980 1.987 3.506 O
1.980 1.987 12.715 O
```


[2]
Simulated PXRD pattern
Compound: Ba2LiSmCoCu2O7
Radiation: Cu Kα
Structure: a crystal structure in the Materials Project, relaxed with GGA+U
Peak positions follow from Bragg's law for the DFT cell and can differ from measured ones.

Top 12 peaks for 2θ from 10° to 90°, in order of rising 2θ:
22.8°, I = 158
30.8°, I = 422
31.5°, I = 926
31.8°, I = 576
32.3°, I = 1000
39.5°, I = 160
43.6°, I = 267
46.1°, I = 243
46.6°, I = 220
55.9°, I = 193
56.9°, I = 170
57.5°, I = 383

Crystal structure
```
Ba2LiSmCoCu2O7
1.0
3.943 0.000 0.000
0.000 11.699 0.000
-0.132 0.000 4.151
Ba Li Sm Co Cu O
2 1 1 1 2 7
Cartesian
0.000 2.060 0.000 Ba
0.000 9.639 0.000 Ba
2.590 5.849 1.363 Li
0.185 5.849 3.763 Sm
1.935 0.000 2.055 Co
1.893 3.882 2.098 Cu
1.893 7.816 2.098 Cu
-0.063 4.384 1.987 O
-0.063 7.315 1.987 O
1.934 1.810 2.045 O
1.934 9.889 2.045 O
1.887 0.000 4.119 O
1.948 4.388 4.150 O
1.948 7.311 4.150 O
```